1.
Mg2CoB6: simulated powder XRD pattern (Cu Kα (λ = 1.5418 Å)), based on DFT lattice parameters and positions (PBE).

Crystal structure
```
Mg2CoB6
1.0
3.3691 -2.3914 0.0000
3.3691 2.3914 0.0000
-0.7414 0.0000 4.7919
Mg Co B
2 1 6
Direct
0.1310 0.1310 0.3188 Mg
0.8690 0.8690 0.6812 Mg
0.5000 0.5000 0.5000 Co
0.1963 0.5769 0.0916 B
0.2522 0.2522 0.8014 B
0.4231 0.8037 0.9084 B
0.5769 0.1963 0.0916 B
0.7478 0.7478 0.1986 B
0.8037 0.4231 0.9084 B
```

Principal peaks in the range 2θ = 10–90°, in order of rising 2θ:
two_theta	intensity
18.52	61
22.89	54
26.78	26
28.25	84
35.09	51
37.61	61
42.24	68
42.53	100
45.03	55
46.43	93
50.20	42
52.38	58

=====

2.
Sc2TlIn4: simulated powder XRD pattern (Cu Kα (λ = 1.5418 Å)), based on DFT lattice parameters and positions (PBE).

Crystal structure
```
Sc2TlIn4
1.0
8.8578 0.0000 0.0000
0.0000 8.8738 0.0000
-4.4090 0.0000 4.5398
Sc Tl In
4 2 8
Direct
0.2500 0.2500 0.0000 Sc
0.2500 0.7500 0.0000 Sc
0.7500 0.2500 0.0000 Sc
0.7500 0.7500 0.0000 Sc
0.0000 0.0000 0.0000 Tl
0.5000 0.5000 0.0000 Tl
0.0000 0.0000 0.5000 In
0.0000 0.5000 0.5000 In
0.2500 0.2500 0.5000 In
0.2500 0.7500 0.5000 In
0.5000 0.0000 0.5000 In
0.5000 0.5000 0.5000 In
0.7500 0.2500 0.5000 In
0.7500 0.7500 0.5000 In
```

Principal peaks in the range 2θ = 10–90°, in order of rising 2θ:
two_theta	intensity
17.19	77
32.86	16
33.45	31
34.73	100
34.83	99
39.71	34
40.71	64
58.12	33
58.93	21
68.81	13
69.00	15
70.23	37

=====

3.
SrAsCl2: simulated powder XRD pattern (Cu Kα (λ = 1.5418 Å)), based on DFT lattice parameters and positions (PBE).

Crystal structure
```
SrAsCl2
1.0
3.9926 0.0000 0.0000
0.0000 5.6612 0.0000
-1.9875 0.0000 4.8722
Sr As Cl
1 1 2
Direct
0.0000 0.0000 0.0000 Sr
0.4071 0.5000 0.8174 As
0.1748 0.5000 0.3483 Cl
0.7066 0.0000 0.4144 Cl
```

Principal peaks in the range 2θ = 10–90°, in order of rising 2θ:
two_theta	intensity
18.21	12
24.10	23
28.86	100
31.61	40
35.63	18
39.13	32
40.30	23
45.43	14
48.36	14
54.61	16
56.40	14
62.27	17

=====

4.
NdThMn: simulated powder XRD pattern (Cu Kα (λ = 1.5418 Å)), based on DFT lattice parameters and positions (PBE).

Crystal structure
```
NdThMn
1.0
14.4735 0.0000 0.0000
0.0000 3.7085 0.0000
-0.9660 0.0000 5.9822
Nd Th Mn
4 4 4
Direct
0.0753 0.0000 0.2681 Nd
0.4247 0.5000 0.7319 Nd
0.5753 0.5000 0.2681 Nd
0.9247 0.0000 0.7319 Nd
0.1596 0.5000 0.8203 Th
0.3404 0.0000 0.1797 Th
0.6596 0.0000 0.8203 Th
0.8404 0.5000 0.1797 Th
0.2498 0.0000 0.5980 Mn
0.2502 0.5000 0.4020 Mn
0.7502 0.0000 0.4020 Mn
0.7498 0.5000 0.5980 Mn
```

Principal peaks in the range 2θ = 10–90°, in order of rising 2θ:
two_theta	intensity
26.95	29
29.53	93
29.87	44
30.54	100
31.14	88
32.73	86
38.39	32
40.00	31
49.13	29
51.04	43
56.10	28
59.32	28

=====

5.
LiTh4Ge3Rh12: simulated powder XRD pattern (Cu Kα (λ = 1.5418 Å)), based on DFT lattice parameters and positions (PBE).

Crystal structure
```
LiTh4Ge3Rh12
1.0
-4.5353 4.5353 4.5353
4.5353 -4.5353 4.5353
4.5353 4.5353 -4.5353
Li Th Ge Rh
1 4 3 12
Direct
0.0000 0.0000 0.0000 Li
0.0000 0.0000 0.5000 Th
0.0000 0.5000 0.0000 Th
0.5000 0.0000 0.0000 Th
0.5000 0.5000 0.5000 Th
0.0000 0.5000 0.5000 Ge
0.5000 0.0000 0.5000 Ge
0.5000 0.5000 0.0000 Ge
0.0000 0.2427 0.2427 Rh
0.0000 0.7573 0.7573 Rh
0.2427 0.0000 0.2427 Rh
0.2427 0.2427 0.0000 Rh
0.2500 0.5000 0.7500 Rh
0.2500 0.7500 0.5000 Rh
0.5000 0.2500 0.7500 Rh
0.5000 0.7500 0.2500 Rh
0.7500 0.2500 0.5000 Rh
0.7500 0.5000 0.2500 Rh
0.7573 0.0000 0.7573 Rh
0.7573 0.7573 0.0000 Rh
```

Principal peaks in the range 2θ = 10–90°, in order of rising 2θ:
two_theta	intensity
19.57	4
27.82	33
34.25	100
39.75	77
44.68	2
49.21	15
57.47	52
65.03	7
68.63	40
72.15	17
78.99	8
85.68	8

=====

6.
HfTl2Ru: simulated powder XRD pattern (Cu Kα (λ = 1.5418 Å)), based on DFT lattice parameters and positions (PBE).

Crystal structure
```
HfTl2Ru
1.0
6.8207 0.0000 0.0000
0.0000 6.8207 0.0000
0.0000 0.0000 6.8207
Hf Tl Ru
4 8 4
Direct
0.0000 0.0000 0.0000 Hf
0.0000 0.5000 0.5000 Hf
0.5000 0.0000 0.5000 Hf
0.5000 0.5000 0.0000 Hf
0.2500 0.2500 0.2500 Tl
0.2500 0.2500 0.7500 Tl
0.2500 0.7500 0.2500 Tl
0.2500 0.7500 0.7500 Tl
0.7500 0.2500 0.2500 Tl
0.7500 0.2500 0.7500 Tl
0.7500 0.7500 0.2500 Tl
0.7500 0.7500 0.7500 Tl
0.0000 0.0000 0.5000 Ru
0.0000 0.5000 0.0000 Ru
0.5000 0.0000 0.0000 Ru
0.5000 0.5000 0.5000 Ru
```

Principal peaks in the range 2θ = 10–90°, in order of rising 2θ:
two_theta	intensity
22.58	3
26.13	4
37.29	100
44.03	1
46.10	1
53.76	18
59.03	1
60.72	2
67.24	36
79.49	11
83.93	1
85.40	1